Diffraction record for Ba3GaCu2O6. The powder diffractogram is theoretical, not measured: it uses a crystal structure in Alexandria, relaxed with PBE and CuKα.

Peak list (8 most intense, 10° ≤ 2θ ≤ 90°, in order of falling intensity)
- 2θ = 30.06°, d = 2.973 Å, intensity 100, hkl 1 1 0
- 2θ = 31.61°, d = 2.831 Å, intensity 78, hkl 0 1 2
- 2θ = 44.18°, d = 2.050 Å, intensity 46, hkl 2 0 2
- 2θ = 54.36°, d = 1.688 Å, intensity 34, hkl 1 2 2
- 2θ = 53.38°, d = 1.716 Å, intensity 20, hkl 3 0 0
- 2θ = 21.67°, d = 4.100 Å, intensity 19, hkl 1 0 1
- 2θ = 62.48°, d = 1.486 Å, intensity 17, hkl 2 2 0
- 2θ = 71.72°, d = 1.316 Å, intensity 15, hkl 3 1 2

Atomic structure:
Cell lengths 5.946, 5.946, 6.778 Å; angles 90.00, 90.00, 120.00 degrees
Positions (direct):
Ba 0.000 0.000 0.000
Ba 0.333 0.667 0.656
Ba 0.667 0.333 0.344
Ga 0.000 0.000 0.500
Cu 0.333 0.667 0.224
Cu 0.667 0.333 0.776
O 0.159 0.317 0.318
O 0.159 0.841 0.318
O 0.317 0.159 0.682
O 0.683 0.841 0.318
O 0.841 0.159 0.682
O 0.841 0.683 0.682